1.
Starting from a DFT-relaxed cell (GGA-PBE, OQMD), the X-ray diffraction stick pattern of Ho2HfO3 was calculated for Cu Ka.
Kinematic intensities with the Lorentz-polarization factor, no thermal factor.

Structural model:
Cell lengths 3.3229, 3.3229, 8.0609 Å; angles 90.00, 90.00, 120.00 degrees
Atoms (fractional coordinates):
1 Ho 0.3333 0.6667 0.3255
2 Ho 0.6667 0.3333 0.6745
3 Hf 0.0000 0.0000 0.0000
4 O 0.0000 0.0000 0.5000
5 O 0.3333 0.6667 0.8529
6 O 0.6667 0.3333 0.1471

The 10 most intense peaks (10 to 90 degrees two-theta), by angle:
| 2θ (°) | Rel. int. |
| --- | --- |
| 33.1 | 100 |
| 33.3 | 32 |
| 38.4 | 99 |
| 55.3 | 34 |
| 55.7 | 32 |
| 65.9 | 15 |
| 66.1 | 29 |
| 66.5 | 15 |
| 69.3 | 17 |
| 82.3 | 10 |

2.
Starting from a DFT-relaxed cell (GGA-PBE, OQMD), the X-ray diffraction stick pattern of HoHfSc2Sb2 was calculated for Cu Ka.
Kinematic intensities with the Lorentz-polarization factor, no thermal factor.

Structural model:
Cell lengths 4.1984, 4.1984, 16.0573 Å; angles 90.00, 90.00, 90.00 degrees
Atoms (fractional coordinates):
1 Ho 0.0000 0.0000 0.0000
2 Ho 0.5000 0.5000 0.5000
3 Hf 0.0000 0.0000 0.3542
4 Hf 0.5000 0.5000 0.8542
5 Sc 0.0000 0.5000 0.1828
6 Sc 0.0000 0.5000 0.6828
7 Sc 0.5000 0.0000 0.1828
8 Sc 0.5000 0.0000 0.6828
9 Sb 0.0000 0.0000 0.5454
10 Sb 0.0000 0.0000 0.8144
11 Sb 0.5000 0.5000 0.0454
12 Sb 0.5000 0.5000 0.3144

The 10 most intense peaks (10 to 90 degrees two-theta), by angle:
| 2θ (°) | Rel. int. |
| --- | --- |
| 11.0 | 40 |
| 30.1 | 100 |
| 32.1 | 74 |
| 33.5 | 37 |
| 35.2 | 74 |
| 37.7 | 78 |
| 43.1 | 70 |
| 55.6 | 34 |
| 56.8 | 38 |
| 84.0 | 29 |

3.
Starting from a DFT-relaxed cell (GGA-PBE, OQMD), the X-ray diffraction stick pattern of YHoHf2Sb2 was calculated for Cu Ka.
Kinematic intensities with the Lorentz-polarization factor, no thermal factor.

Structural model:
Cell lengths 4.2555, 4.2555, 16.5008 Å; angles 90.00, 90.00, 90.00 degrees
Atoms (fractional coordinates):
1 Y 0.0000 0.0000 0.0000
2 Y 0.5000 0.5000 0.5000
3 Ho 0.0000 0.0000 0.3524
4 Ho 0.5000 0.5000 0.8524
5 Hf 0.0000 0.5000 0.1768
6 Hf 0.0000 0.5000 0.6768
7 Hf 0.5000 0.0000 0.1768
8 Hf 0.5000 0.0000 0.6768
9 Sb 0.0000 0.0000 0.5447
10 Sb 0.0000 0.0000 0.8086
11 Sb 0.5000 0.5000 0.0447
12 Sb 0.5000 0.5000 0.3086

The 10 most intense peaks (10 to 90 degrees two-theta), by angle:
| 2θ (°) | Rel. int. |
| --- | --- |
| 10.7 | 36 |
| 31.7 | 95 |
| 32.6 | 34 |
| 34.4 | 28 |
| 37.0 | 100 |
| 42.5 | 55 |
| 54.5 | 39 |
| 71.0 | 19 |
| 71.5 | 20 |
| 74.1 | 26 |

4.
Starting from a DFT-relaxed cell (GGA-PBE, OQMD), the X-ray diffraction stick pattern of HoHfTlTe3 was calculated for Cu Ka.
Kinematic intensities with the Lorentz-polarization factor, no thermal factor.

Structural model:
Cell lengths 8.0040, 8.0040, 11.6858 Å; angles 90.00, 90.00, 150.07 degrees
Atoms (fractional coordinates):
1 Ho 0.0000 0.0000 0.0000
2 Ho 0.0000 0.0000 0.5000
3 Hf 0.4353 0.5647 0.7500
4 Hf 0.5647 0.4353 0.2500
5 Tl 0.2360 0.7640 0.2500
6 Tl 0.7640 0.2360 0.7500
7 Te 0.0652 0.9348 0.7500
8 Te 0.3567 0.6433 0.5331
9 Te 0.3567 0.6433 0.9669
10 Te 0.6433 0.3567 0.0331
11 Te 0.6433 0.3567 0.4669
12 Te 0.9348 0.0652 0.2500

The 10 most intense peaks (10 to 90 degrees two-theta), by angle:
| 2θ (°) | Rel. int. |
| --- | --- |
| 27.7 | 32 |
| 28.7 | 100 |
| 30.6 | 59 |
| 31.7 | 61 |
| 36.2 | 38 |
| 38.2 | 48 |
| 43.8 | 27 |
| 48.1 | 42 |
| 54.4 | 24 |
| 59.5 | 37 |

5.
Starting from a DFT-relaxed cell (GGA-PBE, OQMD), the X-ray diffraction stick pattern of HfI4 was calculated for Cu Ka.
Kinematic intensities with the Lorentz-polarization factor, no thermal factor.

Structural model:
Cell lengths 8.6942, 8.6942, 13.2423 Å; angles 107.71, 107.71, 89.90 degrees
Atoms (fractional coordinates):
1 Hf 0.0606 0.7901 0.8758
2 Hf 0.2099 0.9394 0.6242
3 Hf 0.7901 0.0606 0.3758
4 Hf 0.9394 0.2099 0.1242
5 I 0.0512 0.2772 0.3628
6 I 0.0517 0.8280 0.3866
7 I 0.1720 0.9483 0.1134
8 I 0.1778 0.4220 0.1370
9 I 0.2772 0.0512 0.8628
10 I 0.3044 0.5954 0.8884
11 I 0.4046 0.6956 0.6116
12 I 0.4220 0.1778 0.6370
13 I 0.5780 0.8222 0.3630
14 I 0.5954 0.3044 0.3884
15 I 0.6956 0.4046 0.1116
16 I 0.7228 0.9488 0.1372
17 I 0.8222 0.5780 0.8630
18 I 0.8280 0.0517 0.8866
19 I 0.9483 0.1720 0.6134
20 I 0.9488 0.7228 0.6372

The 10 most intense peaks (10 to 90 degrees two-theta), by angle:
| 2θ (°) | Rel. int. |
| --- | --- |
| 10.7 | 47 |
| 14.9 | 29 |
| 16.2 | 22 |
| 25.0 | 34 |
| 25.7 | 33 |
| 29.1 | 100 |
| 29.9 | 48 |
| 41.3 | 20 |
| 41.6 | 33 |
| 42.2 | 33 |

6.
Starting from a DFT-relaxed cell (GGA-PBE, OQMD), the X-ray diffraction stick pattern of HfI4 was calculated for Cu Ka.
Kinematic intensities with the Lorentz-polarization factor, no thermal factor.

Structural model:
Cell lengths 12.9695, 12.9695, 12.9695 Å; angles 90.00, 90.00, 90.00 degrees
Atoms (fractional coordinates):
1 Hf 0.1279 0.1279 0.1279
2 Hf 0.1279 0.3721 0.6279
3 Hf 0.3721 0.6279 0.1279
4 Hf 0.3721 0.8721 0.6279
5 Hf 0.6279 0.1279 0.3721
6 Hf 0.6279 0.3721 0.8721
7 Hf 0.8721 0.6279 0.3721
8 Hf 0.8721 0.8721 0.8721
9 I 0.0064 0.2469 0.0112
10 I 0.0064 0.2531 0.5112
11 I 0.0112 0.0064 0.2469
12 I 0.0112 0.4936 0.7469
13 I 0.2469 0.0112 0.0064
14 I 0.2469 0.2469 0.2469
15 I 0.2469 0.2531 0.7469
16 I 0.2469 0.4888 0.5064
17 I 0.2531 0.5112 0.0064
18 I 0.2531 0.7469 0.2469
19 I 0.2531 0.7531 0.7469
20 I 0.2531 0.9888 0.5064
21 I 0.4888 0.5064 0.2469
22 I 0.4888 0.9936 0.7469
23 I 0.4936 0.7469 0.0112
24 I 0.4936 0.7531 0.5112
25 I 0.5064 0.2469 0.4888
26 I 0.5064 0.2531 0.9888
27 I 0.5112 0.0064 0.2531
28 I 0.5112 0.4936 0.7531
29 I 0.7469 0.0112 0.4936
30 I 0.7469 0.2469 0.2531
31 I 0.7469 0.2531 0.7531
32 I 0.7469 0.4888 0.9936
33 I 0.7531 0.5112 0.4936
34 I 0.7531 0.7469 0.2531
35 I 0.7531 0.7531 0.7531
36 I 0.7531 0.9888 0.9936
37 I 0.9888 0.5064 0.2531
38 I 0.9888 0.9936 0.7531
39 I 0.9936 0.7469 0.4888
40 I 0.9936 0.7531 0.9888

The 10 most intense peaks (10 to 90 degrees two-theta), by angle:
| 2θ (°) | Rel. int. |
| --- | --- |
| 15.3 | 34 |
| 16.7 | 30 |
| 23.8 | 100 |
| 27.5 | 22 |
| 39.3 | 70 |
| 46.4 | 46 |
| 62.4 | 18 |
| 71.2 | 22 |
| 76.3 | 12 |
| 89.4 | 12 |

7.
Starting from a DFT-relaxed cell (GGA-PBE, OQMD), the X-ray diffraction stick pattern of HfPaI was calculated for Cu Ka.
Kinematic intensities with the Lorentz-polarization factor, no thermal factor.

Structural model:
Cell lengths 7.8980, 7.8980, 4.6460 Å; angles 90.00, 90.00, 120.00 degrees
Atoms (fractional coordinates):
1 Hf 0.0005 0.4995 0.0000
2 Hf 0.4989 0.9995 0.0000
3 Hf 0.5005 0.5011 0.0000
4 Pa 0.0000 0.0000 0.0000
5 Pa 0.3333 0.6667 0.5000
6 Pa 0.6667 0.3333 0.5000
7 I 0.0000 0.2567 0.5000
8 I 0.2567 0.0000 0.5000
9 I 0.7433 0.7433 0.5000

The 10 most intense peaks (10 to 90 degrees two-theta), by angle:
| 2θ (°) | Rel. int. |
| --- | --- |
| 22.5 | 21 |
| 26.1 | 12 |
| 29.7 | 14 |
| 32.5 | 100 |
| 38.8 | 21 |
| 39.9 | 20 |
| 46.0 | 19 |
| 61.7 | 16 |
| 66.2 | 13 |
| 76.5 | 18 |

8.
Starting from a DFT-relaxed cell (GGA-PBE, OQMD), the X-ray diffraction stick pattern of HfZrI6 was calculated for Cu Ka.
Kinematic intensities with the Lorentz-polarization factor, no thermal factor.

Structural model:
Cell lengths 7.6796, 7.6796, 6.5455 Å; angles 90.00, 90.00, 120.00 degrees
Atoms (fractional coordinates):
1 Hf 0.0000 0.0000 0.0000
2 Zr 0.0000 0.0000 0.5000
3 I 0.0000 0.3144 0.2457
4 I 0.0000 0.6856 0.7543
5 I 0.3144 0.0000 0.2457
6 I 0.3144 0.3144 0.7543
7 I 0.6856 0.0000 0.7543
8 I 0.6856 0.6856 0.2457

The 10 most intense peaks (10 to 90 degrees two-theta), by angle:
| 2θ (°) | Rel. int. |
| --- | --- |
| 13.3 | 64 |
| 26.9 | 100 |
| 36.1 | 45 |
| 38.6 | 12 |
| 40.7 | 38 |
| 48.0 | 20 |
| 49.5 | 24 |
| 55.5 | 12 |
| 65.9 | 13 |
| 71.7 | 14 |

9.
Starting from a DFT-relaxed cell (GGA-PBE, OQMD), the X-ray diffraction stick pattern of LuHf2In3Ir2 was calculated for Cu Ka.
Kinematic intensities with the Lorentz-polarization factor, no thermal factor.

Structural model:
Cell lengths 3.2882, 13.2358, 7.5518 Å; angles 90.00, 90.00, 90.00 degrees
Atoms (fractional coordinates):
1 Lu 0.0000 0.0000 0.0000
2 Lu 0.0000 0.5000 0.5000
3 Hf 0.0000 0.2120 0.6310
4 Hf 0.0000 0.2880 0.1310
5 Hf 0.0000 0.7120 0.1310
6 Hf 0.0000 0.7880 0.6310
7 In 0.5000 0.0000 0.6493
8 In 0.5000 0.1163 0.3056
9 In 0.5000 0.3837 0.8056
10 In 0.5000 0.5000 0.1493
11 In 0.5000 0.6163 0.8056
12 In 0.5000 0.8837 0.3056
13 Ir 0.5000 0.1716 0.9166
14 Ir 0.5000 0.3284 0.4166
15 Ir 0.5000 0.6716 0.4166
16 Ir 0.5000 0.8284 0.9166

The 10 most intense peaks (10 to 90 degrees two-theta), by angle:
| 2θ (°) | Rel. int. |
| --- | --- |
| 13.4 | 16 |
| 13.5 | 20 |
| 35.9 | 32 |
| 36.1 | 100 |
| 36.2 | 38 |
| 36.3 | 26 |
| 38.6 | 24 |
| 38.8 | 55 |
| 55.9 | 16 |
| 68.3 | 15 |

10.
Starting from a DFT-relaxed cell (GGA-PBE, OQMD), the X-ray diffraction stick pattern of YHf2In3Ir2 was calculated for Cu Ka.
Kinematic intensities with the Lorentz-polarization factor, no thermal factor.

Structural model:
Cell lengths 3.3425, 13.3127, 7.5371 Å; angles 90.00, 90.00, 90.00 degrees
Atoms (fractional coordinates):
1 Y 0.0000 0.0000 0.0000
2 Y 0.0000 0.5000 0.5000
3 Hf 0.0000 0.2124 0.6305
4 Hf 0.0000 0.2876 0.1305
5 Hf 0.0000 0.7124 0.1305
6 Hf 0.0000 0.7876 0.6305
7 In 0.5000 0.0000 0.6469
8 In 0.5000 0.1172 0.3056
9 In 0.5000 0.3828 0.8056
10 In 0.5000 0.5000 0.1469
11 In 0.5000 0.6172 0.8056
12 In 0.5000 0.8828 0.3056
13 Ir 0.5000 0.1744 0.9143
14 Ir 0.5000 0.3256 0.4143
15 Ir 0.5000 0.6744 0.4143
16 Ir 0.5000 0.8256 0.9143

The 10 most intense peaks (10 to 90 degrees two-theta), by angle:
| 2θ (°) | Rel. int. |
| --- | --- |
| 13.3 | 38 |
| 35.7 | 100 |
| 35.9 | 72 |
| 36.4 | 23 |
| 38.2 | 19 |
| 38.5 | 59 |
| 41.3 | 17 |
| 45.2 | 14 |
| 54.9 | 16 |
| 67.7 | 15 |

11.
Starting from a DFT-relaxed cell (GGA-PBE, OQMD), the X-ray diffraction stick pattern of Hf2ZrIn3Ir2 was calculated for Cu Ka.
Kinematic intensities with the Lorentz-polarization factor, no thermal factor.

Structural model:
Cell lengths 3.2732, 13.0805, 7.5248 Å; angles 90.00, 90.00, 90.00 degrees
Atoms (fractional coordinates):
1 Hf 0.0000 0.2114 0.0000
2 Hf 0.0000 0.2886 0.5000
3 Hf 0.0000 0.7114 0.5000
4 Hf 0.0000 0.7886 0.0000
5 Zr 0.0000 0.0000 0.3683
6 Zr 0.0000 0.5000 0.8683
7 In 0.5000 0.0000 0.0208
8 In 0.5000 0.1155 0.6738
9 In 0.5000 0.3845 0.1738
10 In 0.5000 0.5000 0.5208
11 In 0.5000 0.6155 0.1738
12 In 0.5000 0.8845 0.6738
13 Ir 0.5000 0.1686 0.2878
14 Ir 0.5000 0.3314 0.7878
15 Ir 0.5000 0.6686 0.7878
16 Ir 0.5000 0.8314 0.2878

The 10 most intense peaks (10 to 90 degrees two-theta), by angle:
| 2θ (°) | Rel. int. |
| --- | --- |
| 13.5 | 24 |
| 36.4 | 100 |
| 36.5 | 15 |
| 39.0 | 45 |
| 41.5 | 11 |
| 46.1 | 12 |
| 50.4 | 10 |
| 68.8 | 20 |
| 72.2 | 11 |
| 72.4 | 13 |

12.
Starting from a DFT-relaxed cell (GGA-PBE, OQMD), the X-ray diffraction stick pattern of LiHfInPd was calculated for Cu Ka.
Kinematic intensities with the Lorentz-polarization factor, no thermal factor.

Structural model:
Cell lengths 6.4949, 6.4949, 6.4949 Å; angles 90.00, 90.00, 90.00 degrees
Atoms (fractional coordinates):
1 Li 0.0000 0.0000 0.0000
2 Li 0.0000 0.5000 0.5000
3 Li 0.5000 0.0000 0.5000
4 Li 0.5000 0.5000 0.0000
5 Hf 0.2500 0.2500 0.2500
6 Hf 0.2500 0.7500 0.7500
7 Hf 0.7500 0.2500 0.7500
8 Hf 0.7500 0.7500 0.2500
9 In 0.2500 0.2500 0.7500
10 In 0.2500 0.7500 0.2500
11 In 0.7500 0.2500 0.2500
12 In 0.7500 0.7500 0.7500
13 Pd 0.0000 0.0000 0.5000
14 Pd 0.0000 0.5000 0.0000
15 Pd 0.5000 0.0000 0.0000
16 Pd 0.5000 0.5000 0.5000

The 10 most intense peaks (10 to 90 degrees two-theta), by angle:
| 2θ (°) | Rel. int. |
| --- | --- |
| 23.7 | 21 |
| 27.5 | 25 |
| 39.2 | 100 |
| 46.4 | 11 |
| 48.6 | 7 |
| 56.7 | 17 |
| 62.3 | 4 |
| 64.1 | 9 |
| 71.1 | 34 |
| 84.4 | 11 |

13.
Starting from a DFT-relaxed cell (GGA-PBE, OQMD), the X-ray diffraction stick pattern of Li2HfZnIn2Pd2 was calculated for Cu Ka.
Kinematic intensities with the Lorentz-polarization factor, no thermal factor.

Structural model:
Cell lengths 4.5571, 4.5571, 6.5143 Å; angles 90.00, 90.00, 90.00 degrees
Atoms (fractional coordinates):
1 Li 0.0000 0.5000 0.2192
2 Li 0.5000 0.0000 0.7808
3 Hf 0.0000 0.0000 0.5000
4 Zn 0.5000 0.5000 0.0000
5 In 0.0000 0.0000 0.0000
6 In 0.5000 0.5000 0.5000
7 Pd 0.0000 0.5000 0.7442
8 Pd 0.5000 0.0000 0.2558

The 10 most intense peaks (10 to 90 degrees two-theta), by angle:
| 2θ (°) | Rel. int. |
| --- | --- |
| 23.8 | 32 |
| 27.4 | 9 |
| 27.7 | 16 |
| 39.3 | 100 |
| 39.6 | 49 |
| 46.7 | 10 |
| 57.2 | 16 |
| 71.2 | 17 |
| 71.6 | 33 |
| 84.6 | 11 |